[1]
Diffraction record for K2H2C2O5. The XRD peak list is computed, not measured: it uses DFT lattice parameters and positions (GGA-PBE) and copper Kα.
Neutral-atom scattering factors, no anomalous dispersion.

Crystal structure
```
data_K2H2C2O5
_chemical_formula_sum 'K8 H8 C8 O20'
_space_group_name_H-M_alt 'C 1 2/c 1'
_space_group_IT_number 15
_cell_length_a 9.100
_cell_length_b 6.455
_cell_length_c 10.650
_cell_angle_alpha 90.00
_cell_angle_beta 107.68
_cell_angle_gamma 90.00
loop_
_space_group_symop_operation_xyz
'x,y,z'
'-x,-y,-z'
'-x,y,-z+1/2'
'x,-y,z+1/2'
'x+1/2,y+1/2,z'
'-x+1/2,-y+1/2,-z'
'-x+1/2,y+1/2,-z+1/2'
'x+1/2,-y+1/2,z+1/2'
loop_
_atom_site_label
_atom_site_type_symbol
_atom_site_fract_x
_atom_site_fract_y
_atom_site_fract_z
_atom_site_occupancy
K1 K 0.132 0.162 0.132 1
H1 H 0.038 0.410 0.692 1
C1 C 0.228 0.321 0.552 1
O1 O 0.000 0.497 0.250 1
O2 O 0.115 0.262 0.590 1
O3 O 0.191 0.018 0.409 1
```

Peak list (8 most intense, 2θ = 5–70°, low angle first)
2θ/deg, I (rel.)
17.76, 34
29.03, 57
30.94, 100
33.99, 47
34.17, 48
35.39, 35
35.97, 76
36.51, 51

=====

[2]
Diffraction record for Ba2LaI7. The XRD peak list is computed, not measured: it uses DFT lattice parameters and positions (GGA-PBE) and copper Kα.
Neutral-atom scattering factors, no anomalous dispersion.

Crystal structure
```
data_Ba2LaI7
_chemical_formula_sum 'Ba8 La4 I28'
_space_group_name_H-M_alt 'P 1 21 1'
_space_group_IT_number 4
_cell_length_a 8.498
_cell_length_b 15.759
_cell_length_c 15.212
_cell_angle_alpha 90.00
_cell_angle_beta 101.45
_cell_angle_gamma 90.00
loop_
_space_group_symop_operation_xyz
'x,y,z'
'-x,y+1/2,-z'
loop_
_atom_site_label
_atom_site_type_symbol
_atom_site_fract_x
_atom_site_fract_y
_atom_site_fract_z
_atom_site_occupancy
Ba1 Ba 0.129 0.000 0.236 1
Ba2 Ba 0.189 0.165 0.733 1
Ba3 Ba 0.249 0.762 0.864 1
Ba4 Ba 0.279 0.411 0.353 1
La1 La 0.369 0.484 0.958 1
La2 La 0.384 0.684 0.471 1
I1 I 0.060 0.596 0.972 1
I2 I 0.070 0.567 0.458 1
I3 I 0.080 0.965 0.799 1
I4 I 0.117 0.215 0.280 1
I5 I 0.124 0.812 0.364 1
I6 I 0.126 0.335 0.878 1
I7 I 0.291 0.556 0.758 1
I8 I 0.318 0.292 0.560 1
I9 I 0.332 0.884 0.086 1
I10 I 0.350 0.799 0.636 1
I11 I 0.390 0.378 0.135 1
I12 I 0.410 0.609 0.277 1
I13 I 0.418 0.023 0.452 1
I14 I 0.433 0.147 0.979 1
```

Peak list (8 most intense, 2θ = 5–70°, low angle first)
2θ/deg, I (rel.)
14.29, 55
25.02, 65
26.46, 100
26.81, 31
27.08, 70
28.33, 33
28.94, 38
29.60, 36

=====

[3]
Diffraction record for SnPtI2. The XRD peak list is computed, not measured: it uses DFT lattice parameters and positions (GGA-PBE) and copper Kα.
Neutral-atom scattering factors, no anomalous dispersion.

Crystal structure
```
data_SnPtI2
_chemical_formula_sum 'Sn3 Pt3 I6'
_space_group_name_H-M_alt 'R -3 m'
_space_group_IT_number 166
_space_group_name_Hall '-R 3 2"'
_cell_length_a 4.8979
_cell_length_b 4.8979
_cell_length_c 24.7257
_cell_angle_alpha 90.00
_cell_angle_beta 90.00
_cell_angle_gamma 120.00
loop_
_atom_site_label
_atom_site_type_symbol
_atom_site_fract_x
_atom_site_fract_y
_atom_site_fract_z
_atom_site_occupancy
Sn1 Sn 0.0000 0.0000 0.0000 1
Pt1 Pt 0.0000 0.0000 0.5000 1
I1 I 0.0000 0.0000 0.3995 1
```

Peak list (8 most intense, 2θ = 5–70°, low angle first)
2θ/deg, I (rel.)
21.25, 55
22.16, 100
35.95, 31
36.70, 58
42.31, 39
43.28, 18
57.23, 16
69.93, 18

=====

[4]
Diffraction record for BaSrInGa. The XRD peak list is computed, not measured: it uses DFT lattice parameters and positions (GGA-PBE) and copper Kα.
Neutral-atom scattering factors, no anomalous dispersion.

Crystal structure
```
data_BaSrInGa
_chemical_formula_sum 'Ba2 Sr2 In2 Ga2'
_space_group_name_H-M_alt 'A m m 2'
_space_group_IT_number 38
_cell_length_a 4.906
_cell_length_b 4.485
_cell_length_c 13.185
_cell_angle_alpha 90.00
_cell_angle_beta 90.00
_cell_angle_gamma 90.00
loop_
_space_group_symop_operation_xyz
'x,y,z'
'-x,-y,z'
'-x,y,z'
'x,-y,z'
'x,y+1/2,z+1/2'
'-x,-y+1/2,z+1/2'
'-x,y+1/2,z+1/2'
'x,-y+1/2,z+1/2'
loop_
_atom_site_label
_atom_site_type_symbol
_atom_site_fract_x
_atom_site_fract_y
_atom_site_fract_z
_atom_site_occupancy
Ba1 Ba 0.000 0.000 0.000 1
Sr1 Sr 0.500 0.000 0.292 1
In1 In 0.500 0.000 0.592 1
Ga1 Ga 0.000 0.000 0.723 1
```

Peak list (8 most intense, 2θ = 5–70°, low angle first)
2θ/deg, I (rel.)
27.79, 100
28.43, 53
32.73, 46
33.90, 59
36.63, 30
40.21, 23
47.01, 26
52.75, 42

=====

[5]
Diffraction record for K3In6Pt5. The XRD peak list is computed, not measured: it uses DFT lattice parameters and positions (GGA-PBE) and copper Kα.
Neutral-atom scattering factors, no anomalous dispersion.

Crystal structure
```
data_K3In6Pt5
_chemical_formula_sum 'K6 In12 Pt10'
_space_group_name_H-M_alt 'P m m n'
_space_group_IT_number 59
_cell_length_a 4.426
_cell_length_b 14.208
_cell_length_c 11.262
_cell_angle_alpha 90.00
_cell_angle_beta 90.00
_cell_angle_gamma 90.00
loop_
_space_group_symop_operation_xyz
'x,y,z'
'-x,-y,-z'
'-x+1/2,-y+1/2,z'
'x+1/2,y+1/2,-z'
'x+1/2,-y,-z'
'-x+1/2,y,z'
'-x,y+1/2,-z'
'x,-y+1/2,z'
loop_
_atom_site_label
_atom_site_type_symbol
_atom_site_fract_x
_atom_site_fract_y
_atom_site_fract_z
_atom_site_occupancy
K1 K 0.250 0.102 0.244 1
K2 K 0.250 0.750 0.266 1
In1 In 0.250 0.047 0.600 1
In2 In 0.250 0.250 0.480 1
In3 In 0.250 0.250 0.959 1
In4 In 0.250 0.578 0.008 1
Pt1 Pt 0.250 0.073 0.847 1
Pt2 Pt 0.250 0.636 0.515 1
Pt3 Pt 0.250 0.750 0.905 1
```

Peak list (8 most intense, 2θ = 5–70°, low angle first)
2θ/deg, I (rel.)
15.74, 100
20.34, 31
21.57, 43
31.24, 42
31.91, 87
38.48, 45
40.78, 59
42.58, 73

=====

[6]
Diffraction record for MgSiPb2Au. The XRD peak list is computed, not measured: it uses DFT lattice parameters and positions (GGA-PBE) and copper Kα.
Neutral-atom scattering factors, no anomalous dispersion.

Crystal structure
```
data_MgSiPb2Au
_chemical_formula_sum 'Mg1 Si1 Pb2 Au1'
_space_group_name_H-M_alt 'P 4/m m m'
_space_group_IT_number 123
_space_group_name_Hall '-P 4 2'
_cell_length_a 5.490
_cell_length_b 5.490
_cell_length_c 4.882
_cell_angle_alpha 90.00
_cell_angle_beta 90.00
_cell_angle_gamma 90.00
loop_
_atom_site_label
_atom_site_type_symbol
_atom_site_fract_x
_atom_site_fract_y
_atom_site_fract_z
_atom_site_occupancy
Mg1 Mg 0.000 0.000 0.000 1
Si1 Si 0.500 0.500 0.500 1
Pb1 Pb 0.000 0.500 0.000 1
Au1 Au 0.000 0.000 0.500 1
```

Peak list (8 most intense, 2θ = 5–70°, low angle first)
2θ/deg, I (rel.)
16.14, 20
29.39, 100
32.62, 45
36.82, 16
46.80, 17
50.00, 28
56.24, 34
60.98, 15

=====

[7]
Diffraction record for Y7Ho12In. The XRD peak list is computed, not measured: it uses DFT lattice parameters and positions (GGA-PBE) and copper Kα.
Neutral-atom scattering factors, no anomalous dispersion.

Crystal structure
```
data_Y7Ho12In
_chemical_formula_sum 'Y21 Ho36 In3'
_space_group_name_H-M_alt 'R -3'
_space_group_IT_number 148
_space_group_name_Hall '-R 3'
_cell_length_a 12.0709
_cell_length_b 12.0709
_cell_length_c 15.1832
_cell_angle_alpha 90.00
_cell_angle_beta 90.00
_cell_angle_gamma 120.00
loop_
_atom_site_label
_atom_site_type_symbol
_atom_site_fract_x
_atom_site_fract_y
_atom_site_fract_z
_atom_site_occupancy
Y1 Y 0.0000 0.0000 0.0000 1
Y2 Y 0.0501 0.8627 0.3027 1
Ho1 Ho 0.0313 0.5782 0.2083 1
Ho2 Ho 0.0580 0.4713 0.5868 1
In1 In 0.0000 0.0000 0.5000 1
```

Peak list (8 most intense, 2θ = 5–70°, low angle first)
2θ/deg, I (rel.)
30.66, 26
31.16, 35
31.41, 100
32.72, 58
33.07, 41
34.15, 37
54.13, 20
54.80, 22

=====

[8]
Diffraction record for Tb3Sc4. The XRD peak list is computed, not measured: it uses DFT lattice parameters and positions (GGA-PBE) and copper Kα.
Neutral-atom scattering factors, no anomalous dispersion.

Crystal structure
```
data_Tb3Sc4
_chemical_formula_sum 'Tb6 Sc8'
_space_group_name_H-M_alt 'I m m m'
_space_group_IT_number 71
_space_group_name_Hall '-I 2 2'
_cell_length_a 3.425
_cell_length_b 4.688
_cell_length_c 23.962
_cell_angle_alpha 90.00
_cell_angle_beta 90.00
_cell_angle_gamma 90.00
loop_
_atom_site_label
_atom_site_type_symbol
_atom_site_fract_x
_atom_site_fract_y
_atom_site_fract_z
_atom_site_occupancy
Tb1 Tb 0.000 0.000 0.000 1
Tb2 Tb 0.000 0.000 0.144 1
Sc1 Sc 0.000 0.000 0.283 1
Sc2 Sc 0.000 0.000 0.428 1
```

Peak list (8 most intense, 2θ = 5–70°, low angle first)
2θ/deg, I (rel.)
19.29, 26
26.28, 13
32.38, 100
37.13, 34
38.41, 16
54.49, 22
63.96, 27
65.68, 12

=====

[9]
Diffraction record for Tl2SnTeRh. The XRD peak list is computed, not measured: it uses DFT lattice parameters and positions (GGA-PBE) and copper Kα.
Neutral-atom scattering factors, no anomalous dispersion.

Crystal structure
```
data_Tl2SnTeRh
_chemical_formula_sum 'Tl2 Sn1 Te1 Rh1'
_space_group_name_H-M_alt 'P 4/m m m'
_space_group_IT_number 123
_space_group_name_Hall '-P 4 2'
_cell_length_a 5.312
_cell_length_b 5.312
_cell_length_c 5.162
_cell_angle_alpha 90.00
_cell_angle_beta 90.00
_cell_angle_gamma 90.00
loop_
_atom_site_label
_atom_site_type_symbol
_atom_site_fract_x
_atom_site_fract_y
_atom_site_fract_z
_atom_site_occupancy
Tl1 Tl 0.000 0.500 0.000 1
Sn1 Sn 0.000 0.000 0.500 1
Te1 Te 0.500 0.500 0.500 1
Rh1 Rh 0.000 0.000 0.000 1
```

Peak list (8 most intense, 2θ = 5–70°, low angle first)
2θ/deg, I (rel.)
17.18, 21
29.41, 100
33.75, 68
34.76, 31
48.47, 25
49.22, 48
57.71, 31
61.01, 25

=====

[10]
Diffraction record for Ba2TlGa2. The XRD peak list is computed, not measured: it uses DFT lattice parameters and positions (GGA-PBE) and copper Kα.
Neutral-atom scattering factors, no anomalous dispersion.

Crystal structure
```
data_Ba2TlGa2
_chemical_formula_sum 'Ba4 Tl2 Ga4'
_space_group_name_H-M_alt 'I 4/m m m'
_space_group_IT_number 139
_space_group_name_Hall '-I 4 2'
_cell_length_a 3.919
_cell_length_b 3.919
_cell_length_c 21.932
_cell_angle_alpha 90.00
_cell_angle_beta 90.00
_cell_angle_gamma 90.00
loop_
_atom_site_label
_atom_site_type_symbol
_atom_site_fract_x
_atom_site_fract_y
_atom_site_fract_z
_atom_site_occupancy
Ba1 Ba 0.000 0.000 0.110 1
Tl1 Tl 0.000 0.000 0.500 1
Ga1 Ga 0.000 0.500 0.250 1
```

Peak list (8 most intense, 2θ = 5–70°, low angle first)
2θ/deg, I (rel.)
25.79, 82
30.59, 100
32.66, 31
33.35, 62
46.34, 29
53.27, 32
56.55, 35
57.84, 24

=====

[11]
Diffraction record for Dy6Tm4Mg. The XRD peak list is computed, not measured: it uses DFT lattice parameters and positions (GGA-PBE) and copper Kα.
Neutral-atom scattering factors, no anomalous dispersion.

Crystal structure
```
data_Dy6Tm4Mg
_chemical_formula_sum 'Dy12 Tm8 Mg2'
_space_group_name_H-M_alt 'I -4 2 m'
_space_group_IT_number 121
_space_group_name_Hall 'I -4 2'
_cell_length_a 6.434
_cell_length_b 6.434
_cell_length_c 16.930
_cell_angle_alpha 90.00
_cell_angle_beta 90.00
_cell_angle_gamma 90.00
loop_
_atom_site_label
_atom_site_type_symbol
_atom_site_fract_x
_atom_site_fract_y
_atom_site_fract_z
_atom_site_occupancy
Dy1 Dy 0.000 0.500 0.000 1
Dy2 Dy 0.183 0.183 0.171 1
Tm1 Tm 0.176 0.176 0.367 1
Mg1 Mg 0.000 0.000 0.000 1
```

Peak list (8 most intense, 2θ = 5–70°, low angle first)
2θ/deg, I (rel.)
22.18, 31
28.81, 41
29.71, 41
31.54, 100
31.71, 31
35.03, 65
41.17, 55
59.49, 27

=====

Q: What is the formula in the eleventh record?
A: Dy6Tm4Mg